For LaMg6Ga, a PBE-relaxed structure gives the theoretical powder diffraction line list in this record (Cu Kα).
Intensities are scaled so that the largest is 100.

Main lines, by angle (2θ from 5° to 70°):
hkl 0 1 1, d = 5.633 Å, rel. 100
hkl 1 0 2, d = 3.876 Å, rel. 41
hkl 1 1 1, d = 3.636 Å, rel. 37
hkl 1 1 3, d = 2.881 Å, rel. 86
hkl 0 2 2, d = 2.816 Å, rel. 44
hkl 1 0 4, d = 2.733 Å, rel. 66
hkl 1 2 2, d = 2.424 Å, rel. 88
hkl 2 0 0, d = 2.380 Å, rel. 38

Atomic structure:
a = 4.7597 Å, b = 6.2126 Å, c = 13.3545 Å
α = 90.00°, β = 90.00°, γ = 90.00°
Space group Amm2 (No. 38)
Asymmetric unit:
La  0.0000  0.0000  0.0000 (multiplicity 2)
Mg  0.0000  0.0000  0.4273 (multiplicity 2)
Mg  0.0000  0.2441  0.7225 (multiplicity 4)
Mg  0.5000  0.0000  0.5846 (multiplicity 2)
Mg  0.5000  0.2442  0.8549 (multiplicity 4)
Ga  0.5000  0.0000  0.1595 (multiplicity 2)